For Cs2LaAuCl6, the GGA-PBE geometry in the Materials Project gives the computed powder diffractogram in this record (Cu Kα X-rays).
Neutral-atom scattering factors, no anomalous dispersion.

Structural model:
Unit cell a=11.108 b=11.108 c=11.108 alpha=90.00 beta=90.00 gamma=90.00
Space group Fm-3m (No. 225)
One atom of each set of equivalent atoms:
Cs  0.250  0.250  0.250 x8
La  0.000  0.000  0.000 x4
Au  0.000  0.000  0.500 x4
Cl  0.000  0.000  0.250 x24

Principal peaks in the range 10° ≤ 2θ ≤ 90°, by angle:
2θ (°)  I/Imax  index
22.6  1000  2 2 0
32.2  504  4 0 0
39.8  476  4 2 2
46.2  354  4 4 0
52.1  221  6 2 0
62.6  257  6 4 2